Entry 1:
# K3TiCl6
Theoretical PXRD pattern, a wavelength of 1.5418 Å. Input: a cell relaxed with GGA-PBE.
Lines closer than 0.1° are merged.

Structure:
```
K3TiCl6
1.0
12.731 0.000 0.000
0.000 7.587 0.000
-4.058 0.000 11.669
K Ti Cl
12 4 24
Direct
0.099 0.029 0.361
0.099 0.471 0.861
0.315 0.563 0.264
0.315 0.937 0.764
0.321 0.067 0.114
0.321 0.433 0.614
0.679 0.567 0.386
0.679 0.933 0.886
0.685 0.063 0.236
0.685 0.437 0.736
0.901 0.529 0.139
0.901 0.971 0.639
0.000 0.000 0.000
0.000 0.500 0.500
0.500 0.000 0.500
0.500 0.500 0.000
0.099 0.228 0.594
0.099 0.272 0.094
0.115 0.509 0.379
0.115 0.991 0.879
0.129 0.681 0.644
0.129 0.819 0.144
0.354 0.206 0.397
0.354 0.294 0.897
0.354 0.703 0.006
0.354 0.797 0.506
0.499 0.631 0.818
0.499 0.869 0.318
0.501 0.131 0.682
0.501 0.369 0.182
0.646 0.203 0.494
0.646 0.297 0.994
0.646 0.706 0.103
0.646 0.794 0.603
0.871 0.181 0.856
0.871 0.319 0.356
0.885 0.009 0.121
0.885 0.491 0.621
0.901 0.728 0.906
0.901 0.772 0.406
```

Main lines, low angle first (10° ≤ 2θ ≤ 90°):
- d = 6.091 Å, 14.54°, rel. 57, hkl 1 1 -1
- d = 5.247 Å, 16.90°, rel. 38, hkl 1 1 1
- d = 3.703 Å, 24.03°, rel. 31, hkl 3 1 -1
- d = 3.620 Å, 24.59°, rel. 53, hkl 1 1 -3
- d = 2.963 Å, 30.16°, rel. 38, hkl 2 2 1
- d = 2.850 Å, 31.39°, rel. 58, hkl 1 1 -4
- d = 2.828 Å, 31.64°, rel. 62, hkl 3 2 -1
- d = 2.742 Å, 32.66°, rel. 55, hkl 3 2 -2
- d = 2.624 Å, 34.17°, rel. 100, hkl 2 2 2
- d = 2.555 Å, 35.13°, rel. 42, hkl 4 0 -4
- d = 2.406 Å, 37.38°, rel. 47, hkl 5 0 0
- d = 1.810 Å, 50.43°, rel. 32, hkl 2 2 -6

Entry 2:
# KTiCl3
Theoretical PXRD pattern, a wavelength of 1.5418 Å. Input: a cell relaxed with GGA-PBE.
Lines closer than 0.1° are merged.

Structure:
```
KTiCl3
1.0
12.631 0.000 0.000
-6.316 10.939 0.000
0.000 0.000 5.634
K Ti Cl
6 6 18
Direct
0.004 0.666 0.000
0.334 0.338 0.000
0.338 0.004 0.500
0.662 0.996 0.000
0.666 0.662 0.500
0.996 0.334 0.500
0.000 0.000 0.335
0.000 0.000 0.835
0.333 0.667 0.231
0.333 0.667 0.679
0.667 0.333 0.179
0.667 0.333 0.731
0.036 0.181 0.085
0.145 0.964 0.085
0.161 0.521 0.954
0.180 0.696 0.456
0.181 0.145 0.585
0.304 0.484 0.456
0.360 0.839 0.954
0.479 0.640 0.954
0.484 0.180 0.956
0.516 0.820 0.456
0.521 0.360 0.454
0.640 0.161 0.454
0.696 0.516 0.956
0.819 0.855 0.085
0.820 0.304 0.956
0.839 0.479 0.454
0.855 0.036 0.585
0.964 0.819 0.585
```

Main lines, low angle first (10° ≤ 2θ ≤ 90°):
- d = 6.316 Å, 14.02°, rel. 75, hkl 1 1 0
- d = 3.646 Å, 24.41°, rel. 21, hkl 3 0 0
- d = 3.061 Å, 29.17°, rel. 15, hkl 3 0 1
- d = 2.817 Å, 31.77°, rel. 11, hkl 0 0 2
- d = 2.755 Å, 32.50°, rel. 100, hkl 2 2 1
- d = 2.573 Å, 34.88°, rel. 10, hkl 1 1 2
- d = 2.387 Å, 37.68°, rel. 11, hkl 1 4 0
- d = 2.328 Å, 38.68°, rel. 15, hkl 2 1 2
- d = 2.103 Å, 43.01°, rel. 37, hkl 2 2 2
- d = 2.064 Å, 43.86°, rel. 11, hkl 3 1 2
- d = 1.823 Å, 50.05°, rel. 37, hkl 6 0 0
- d = 1.752 Å, 52.22°, rel. 11, hkl 2 5 0

Entry 3:
# K3TiCl6
Theoretical PXRD pattern, a wavelength of 1.5418 Å. Input: a cell relaxed with GGA-PBE.
Lines closer than 0.1° are merged.

Structure:
```
K3TiCl6
1.0
13.183 0.000 0.000
0.000 7.268 0.000
-4.944 0.000 14.953
K Ti Cl
12 4 24
Direct
0.044 0.015 0.342
0.044 0.485 0.842
0.328 0.502 0.397
0.328 0.998 0.897
0.355 0.610 0.699
0.355 0.890 0.199
0.645 0.110 0.801
0.645 0.390 0.301
0.672 0.002 0.103
0.672 0.498 0.603
0.956 0.515 0.158
0.956 0.985 0.658
0.000 0.000 0.000
0.000 0.500 0.500
0.500 0.000 0.500
0.500 0.500 0.000
0.075 0.711 0.013
0.075 0.789 0.513
0.115 0.099 0.922
0.115 0.401 0.422
0.164 0.743 0.251
0.164 0.757 0.751
0.320 0.566 0.965
0.320 0.934 0.465
0.465 0.173 0.356
0.465 0.327 0.856
0.469 0.220 0.079
0.469 0.280 0.579
0.531 0.720 0.421
0.531 0.780 0.921
0.535 0.673 0.144
0.535 0.827 0.644
0.680 0.066 0.535
0.680 0.434 0.035
0.836 0.243 0.249
0.836 0.257 0.749
0.885 0.599 0.578
0.885 0.901 0.078
0.925 0.211 0.487
0.925 0.289 0.987
```

Main lines, low angle first (10° ≤ 2θ ≤ 90°):
- d = 7.546 Å, 11.73°, rel. 32, hkl 1 0 -2
- d = 7.477 Å, 11.84°, rel. 52, hkl 0 0 2
- d = 6.268 Å, 14.13°, rel. 100, hkl 2 0 0
- d = 6.151 Å, 14.40°, rel. 25, hkl 1 1 -1
- d = 5.225 Å, 16.97°, rel. 27, hkl 1 1 -2
- d = 3.636 Å, 24.48°, rel. 70, hkl 1 1 3
- d = 3.011 Å, 29.67°, rel. 51, hkl 1 1 4
- d = 2.985 Å, 29.94°, rel. 60, hkl 1 2 -3
- d = 2.741 Å, 32.68°, rel. 43, hkl 3 2 0
- d = 2.670 Å, 33.56°, rel. 31, hkl 1 2 -4
- d = 2.436 Å, 36.90°, rel. 26, hkl 5 1 -3
- d = 2.260 Å, 39.90°, rel. 40, hkl 2 3 0